Entry 1:
For Al2Fe7Ge2, a DFT-relaxed cell (GGA-PBE, Alexandria) gives the computed powder XRD pattern in this record (Cu Kα).
Neutral-atom scattering factors, no anomalous dispersion.

Structure:
Cell: 5.842 5.842 4.539 Å, 106.76 106.76 94.02°
Atoms (fractional coordinates):
Al 0.105 0.105 0.328
Al 0.895 0.895 0.672
Fe 0.084 0.578 0.329
Fe 0.252 0.252 0.946
Fe 0.422 0.916 0.671
Fe 0.500 0.500 0.500
Fe 0.578 0.084 0.329
Fe 0.748 0.748 0.054
Fe 0.916 0.422 0.671
Ge 0.314 0.686 0.000
Ge 0.686 0.314 0.000

Main lines, low angle first (10 to 90 degrees two-theta):
16.07 deg, d = 5.515 Å, rel. 27
20.79 deg, d = 4.273 Å, rel. 15
40.26 deg, d = 2.240 Å, rel. 21
41.62 deg, d = 2.170 Å, rel. 24
42.30 deg, d = 2.137 Å, rel. 41
45.12 deg, d = 2.010 Å, rel. 100
45.55 deg, d = 1.991 Å, rel. 37
45.73 deg, d = 1.984 Å, rel. 54
47.19 deg, d = 1.926 Å, rel. 25
50.57 deg, d = 1.805 Å, rel. 17

Entry 2:
For AlFe5Ge, a DFT-relaxed cell (GGA-PBE, Alexandria) gives the computed powder XRD pattern in this record (Cu Kα).
Neutral-atom scattering factors, no anomalous dispersion.

Structure:
Cell: 4.107 4.107 5.386 Å, 90.00 90.00 90.00°
Atoms (fractional coordinates):
Al 0.000 0.000 0.000
Fe 0.000 0.000 0.500
Fe 0.000 0.500 0.240
Fe 0.000 0.500 0.760
Fe 0.500 0.000 0.240
Fe 0.500 0.000 0.760
Ge 0.500 0.500 0.500

Main lines, low angle first (10 to 90 degrees two-theta):
16.46 deg, d = 5.386 Å, rel. 20
30.79 deg, d = 2.904 Å, rel. 6
35.11 deg, d = 2.556 Å, rel. 21
44.11 deg, d = 2.053 Å, rel. 57
45.96 deg, d = 1.975 Å, rel. 100
47.38 deg, d = 1.919 Å, rel. 5
64.14 deg, d = 1.452 Å, rel. 17
69.85 deg, d = 1.347 Å, rel. 6
82.46 deg, d = 1.170 Å, rel. 32
86.41 deg, d = 1.126 Å, rel. 14

Entry 3:
For AlFeGe, a DFT-relaxed cell (GGA-PBE, Alexandria) gives the computed powder XRD pattern in this record (Cu Kα).
Neutral-atom scattering factors, no anomalous dispersion.

Structure:
Cell: 4.055 4.055 5.405 Å, 90.00 90.00 90.00°
Atoms (fractional coordinates):
Al 0.000 0.500 0.000
Al 0.500 0.000 0.500
Fe 0.000 0.000 0.250
Fe 0.000 0.000 0.750
Ge 0.000 0.500 0.500
Ge 0.500 0.000 0.000

Main lines, low angle first (10 to 90 degrees two-theta):
21.92 deg, d = 4.055 Å, rel. 52
27.50 deg, d = 3.243 Å, rel. 37
31.20 deg, d = 2.867 Å, rel. 11
40.10 deg, d = 2.249 Å, rel. 20
44.70 deg, d = 2.027 Å, rel. 55
46.16 deg, d = 1.967 Å, rel. 100
53.29 deg, d = 1.719 Å, rel. 12
65.06 deg, d = 1.434 Å, rel. 17
83.44 deg, d = 1.158 Å, rel. 33
86.57 deg, d = 1.124 Å, rel. 17

Entry 4:
For AlFe3Ge, a DFT-relaxed cell (GGA-PBE, Alexandria) gives the computed powder XRD pattern in this record (Cu Kα).
Neutral-atom scattering factors, no anomalous dispersion.

Structure:
Cell: 6.711 6.711 6.711 Å, 44.15 44.15 44.15°
Atoms (fractional coordinates):
Al 0.106 0.106 0.106
Al 0.894 0.894 0.894
Fe 0.113 0.609 0.609
Fe 0.391 0.391 0.887
Fe 0.391 0.887 0.391
Fe 0.609 0.113 0.609
Fe 0.609 0.609 0.113
Fe 0.887 0.391 0.391
Ge 0.333 0.333 0.333
Ge 0.667 0.667 0.667

Main lines, low angle first (10 to 90 degrees two-theta):
20.92 deg, d = 4.247 Å, rel. 66
22.59 deg, d = 3.936 Å, rel. 22
38.68 deg, d = 2.328 Å, rel. 58
41.65 deg, d = 2.168 Å, rel. 38
44.99 deg, d = 2.015 Å, rel. 64
46.13 deg, d = 1.968 Å, rel. 100
46.92 deg, d = 1.937 Å, rel. 30
48.66 deg, d = 1.871 Å, rel. 90
75.38 deg, d = 1.261 Å, rel. 32
87.55 deg, d = 1.114 Å, rel. 15